Computed powder XRD pattern
Compound: KMn6O12
Radiation: copper Kα
Structure: a cell relaxed with GGA+U

Structure:
Unit cell a=10.013 b=10.013 c=8.863 alpha=90.00 beta=90.00 gamma=90.00
Space group I4/m (No. 87)
Asymmetric unit:
K 0.000 0.000 0.214 x4
Mn 0.151 0.334 0.500 x8
Mn 0.151 0.335 0.166 x16
O 0.042 0.665 0.500 x8
O 0.042 0.668 0.167 x16
O 0.155 0.203 0.000 x8
O 0.155 0.205 0.333 x16

The 12 most intense peaks (5° ≤ 2θ ≤ 70°), in order of falling intensity:
| h k l | 2θ (°) | I_rel |
| --- | --- | --- |
| 1 3 0 | 28.2 | 1000 |
| 2 1 3 | 36.4 | 826 |
| 2 0 0 | 17.7 | 651 |
| 1 1 0 | 12.5 | 625 |
| 2 5 3 | 58.7 | 507 |
| 4 1 3 | 48.5 | 461 |
| 5 4 3 | 67.8 | 343 |
| 3 0 3 | 40.8 | 283 |
| 6 0 0 | 55.0 | 265 |
| 4 0 0 | 35.9 | 205 |
| 2 4 0 | 40.3 | 122 |
| 0 0 6 | 62.9 | 108 |